# 1
The following is a theoretical XRD peak list of La5TbDy3. It was derived from a crystal structure in Alexandria, relaxed with GGA-PBE, using Cu Kα X-rays.
Peak positions follow from Bragg's law for the DFT cell and can differ from measured ones.

Top 12 peaks for 5 to 70 degrees two-theta, sorted by position:
2θ/deg  Rel. int.
26.8  56
28.1  59
30.0  19
31.2  100
35.0  27
37.7  15
40.0  18
40.3  14
50.2  17
55.9  13
58.0  12
60.4  12

Structure:
a = 9.833 Å, b = 9.833 Å, c = 9.833 Å
α = 122.86°, β = 122.86°, γ = 85.11°
Sites, in units of the cell vectors:
La 0.000 0.000 0.000
La 0.065 0.565 0.901
La 0.165 0.065 0.500
La 0.335 0.835 0.901
La 0.435 0.335 0.500
La 0.500 0.500 0.000
La 0.565 0.665 0.500
La 0.665 0.165 0.099
La 0.835 0.935 0.500
La 0.935 0.435 0.099
Tb 0.250 0.750 0.500
Tb 0.750 0.250 0.500
Dy 0.110 0.390 0.500
Dy 0.250 0.250 0.000
Dy 0.390 0.890 0.281
Dy 0.610 0.110 0.719
Dy 0.750 0.750 0.000
Dy 0.890 0.610 0.500


# 2
The following is a theoretical XRD peak list of Pm2Er3In6. It was derived from a crystal structure in Alexandria, relaxed with GGA-PBE, using Cu Kα X-rays.
Peak positions follow from Bragg's law for the DFT cell and can differ from measured ones.

Top 12 peaks for 5 to 70 degrees two-theta, sorted by position:
2θ/deg  Rel. int.
20.3  34
28.6  28
29.1  57
31.6  78
32.9  85
36.0  100
40.9  78
52.6  37
55.6  24
59.2  33
69.1  27
69.4  19

Structure:
a = 16.908 Å, b = 16.908 Å, c = 16.908 Å
α = 165.00°, β = 165.00°, γ = 21.28°
Sites, in units of the cell vectors:
Pm 0.174 0.174 0.000
Pm 0.826 0.826 0.000
Er 0.366 0.366 0.000
Er 0.500 0.500 0.000
Er 0.634 0.634 0.000
In 0.069 0.569 0.500
In 0.273 0.273 0.000
In 0.431 0.931 0.500
In 0.569 0.069 0.500
In 0.727 0.727 0.000
In 0.931 0.431 0.500


# 3
The following is a theoretical XRD peak list of Ti2BiPd9. It was derived from a crystal structure in Alexandria, relaxed with GGA-PBE, using Cu Kα X-rays.
Peak positions follow from Bragg's law for the DFT cell and can differ from measured ones.

Top 12 peaks for 5 to 70 degrees two-theta, sorted by position:
2θ/deg  Rel. int.
7.3  7
23.5  6
26.8  4
32.6  4
35.1  6
37.4  5
39.0  100
45.2  15
45.4  33
60.2  4
66.0  18
66.2  11

Structure:
a = 3.994 Å, b = 3.994 Å, c = 12.046 Å
α = 90.00°, β = 90.00°, γ = 90.00°
Sites, in units of the cell vectors:
Ti 0.000 0.000 0.161
Ti 0.000 0.000 0.839
Bi 0.000 0.000 0.500
Pd 0.000 0.500 0.000
Pd 0.000 0.500 0.316
Pd 0.000 0.500 0.684
Pd 0.500 0.000 0.000
Pd 0.500 0.000 0.316
Pd 0.500 0.000 0.684
Pd 0.500 0.500 0.160
Pd 0.500 0.500 0.500
Pd 0.500 0.500 0.840


# 4
The following is a theoretical XRD peak list of MgGa3Co4. It was derived from a crystal structure in Alexandria, relaxed with GGA-PBE, using Cu Kα X-rays.
Peak positions follow from Bragg's law for the DFT cell and can differ from measured ones.

Top 11 peaks for 5 to 70 degrees two-theta, sorted by position:
2θ/deg  Rel. int.
13.2  4
25.4  3
26.6  2
33.6  1
40.4  1
44.1  100
46.2  1
52.3  1
56.6  1
61.3  2
64.2  15

Structure:
a = 7.108 Å, b = 7.108 Å, c = 7.108 Å
α = 33.58°, β = 33.58°, γ = 33.58°
Sites, in units of the cell vectors:
Mg 0.000 0.000 0.000
Ga 0.253 0.253 0.253
Ga 0.500 0.500 0.500
Ga 0.747 0.747 0.747
Co 0.129 0.129 0.129
Co 0.379 0.379 0.379
Co 0.621 0.621 0.621
Co 0.871 0.871 0.871


# 5
The following is a theoretical XRD peak list of La2Er4Tm7. It was derived from a crystal structure in Alexandria, relaxed with GGA-PBE, using Cu Kα X-rays.
Peak positions follow from Bragg's law for the DFT cell and can differ from measured ones.

Top 12 peaks for 5 to 70 degrees two-theta, sorted by position:
2θ/deg  Rel. int.
26.7  20
29.7  13
30.5  51
32.7  100
33.6  15
36.1  32
40.4  14
51.1  19
52.7  31
63.4  15
63.8  14
64.0  13

Structure:
a = 6.014 Å, b = 6.014 Å, c = 13.343 Å
α = 90.00°, β = 90.00°, γ = 120.00°
Sites, in units of the cell vectors:
La 0.333 0.667 0.000
La 0.667 0.333 0.000
Er 0.000 0.000 0.396
Er 0.000 0.000 0.604
Er 0.333 0.667 0.500
Er 0.667 0.333 0.500
Tm 0.000 0.000 0.000
Tm 0.000 0.349 0.784
Tm 0.000 0.651 0.216
Tm 0.349 0.000 0.784
Tm 0.349 0.349 0.216
Tm 0.651 0.000 0.216
Tm 0.651 0.651 0.784


# 6
The following is a theoretical XRD peak list of Pr2Sm2DyEr. It was derived from a crystal structure in Alexandria, relaxed with GGA-PBE, using Cu Kα X-rays.
Peak positions follow from Bragg's law for the DFT cell and can differ from measured ones.

Top 12 peaks for 5 to 70 degrees two-theta, sorted by position:
2θ/deg  Rel. int.
8.9  1
25.1  6
31.0  92
31.3  100
40.6  10
44.7  34
51.6  8
55.5  35
55.7  19
61.6  29
62.0  3
65.3  12

Structure:
a = 7.088 Å, b = 5.713 Å, c = 9.904 Å
α = 90.00°, β = 90.00°, γ = 90.00°
Sites, in units of the cell vectors:
Pr 0.000 0.000 0.000
Pr 0.250 0.500 0.178
Pr 0.500 0.000 0.000
Pr 0.750 0.500 0.822
Sm 0.250 0.000 0.332
Sm 0.250 0.500 0.836
Sm 0.750 0.000 0.668
Sm 0.750 0.500 0.164
Dy 0.250 0.000 0.659
Dy 0.750 0.000 0.341
Er 0.000 0.500 0.500
Er 0.500 0.500 0.500